Theoretical PXRD pattern
Compound: LiMnBO4
Radiation: copper Kα
Structure: the PBE+U geometry in Alexandria

Peak list (8 most intense, 15 to 90 degrees two-theta, sorted by position)
2θ (°)	I (rel.)
18.63	46
27.20	100
32.18	24
38.32	39
42.70	19
43.01	12
54.39	15
56.11	27

a = 9.523 Å, b = 5.564 Å, c = 4.484 Å
α = 90.00°, β = 90.00°, γ = 90.00°
Fractional coordinates of all 28 atoms:
Li 0.000 0.000 0.000
Li 0.000 0.500 0.000
Li 0.500 0.000 0.500
Li 0.500 0.500 0.500
Mn 0.228 0.250 0.487
Mn 0.272 0.750 0.987
Mn 0.728 0.250 0.013
Mn 0.772 0.750 0.513
B 0.091 0.750 0.437
B 0.409 0.250 0.937
B 0.591 0.750 0.063
B 0.909 0.250 0.563
O 0.051 0.250 0.681
O 0.103 0.750 0.752
O 0.169 0.541 0.274
O 0.169 0.959 0.274
O 0.331 0.041 0.774
O 0.331 0.459 0.774
O 0.397 0.250 0.252
O 0.449 0.750 0.181
O 0.551 0.250 0.819
O 0.603 0.750 0.748
O 0.669 0.541 0.226
O 0.669 0.959 0.226
O 0.831 0.041 0.726
O 0.831 0.459 0.726
O 0.897 0.250 0.248
O 0.949 0.750 0.319